Structure and simulated X-ray diffraction stick pattern of Pm2SmBi (a DFT-relaxed cell (PBE, Alexandria); Cu Ka).

Peak list (10 most intense, 2θ from 10° to 80°, sorted by position)
27.18°, I = 32; 29.23°, I = 78; 30.21°, I = 45; 33.00°, I = 100; 38.34°, I = 32; 38.50°, I = 32; 49.57°, I = 23; 49.70°, I = 23; 55.47°, I = 22; 64.46°, I = 21

Crystal structure
a b c (Å): 12.0638 12.0638 4.6762
angles (deg): 90.00 90.00 157.56
Positions (direct):
Pm 0.0595 0.9405 0.7500
Pm 0.4355 0.5645 0.7500
Pm 0.5645 0.4355 0.2500
Pm 0.9405 0.0595 0.2500
Sm 0.3063 0.6937 0.2500
Sm 0.6937 0.3063 0.7500
Bi 0.1697 0.8303 0.2500
Bi 0.8303 0.1697 0.7500

---

Structure and simulated X-ray diffraction stick pattern of Rb3TePb (a DFT-relaxed cell (PBE, Alexandria); Cu Ka).

Peak list (10 most intense, 2θ from 10° to 80°, sorted by position)
18.00°, I = 75; 22.10°, I = 63; 25.57°, I = 100; 31.45°, I = 39; 36.47°, I = 79; 43.06°, I = 33; 45.07°, I = 29; 48.91°, I = 24; 59.31°, I = 38; 65.64°, I = 28

Crystal structure
a b c (Å): 6.9678 6.9678 6.9678
angles (deg): 90.00 90.00 90.00
Positions (direct):
Rb 0.0000 0.0000 0.5000
Rb 0.0000 0.5000 0.0000
Rb 0.5000 0.0000 0.0000
Te 0.0000 0.0000 0.0000
Pb 0.5000 0.5000 0.5000

---

Structure and simulated X-ray diffraction stick pattern of Tb3Nd2Er6 (a DFT-relaxed cell (PBE, Alexandria); Cu Ka).

Peak list (10 most intense, 2θ from 10° to 80°, sorted by position)
31.13°, I = 100; 31.16°, I = 99; 36.12°, I = 100; 51.98°, I = 47; 52.05°, I = 24; 61.85°, I = 63; 61.94°, I = 21; 64.92°, I = 18; 65.04°, I = 6; 76.58°, I = 8

Crystal structure
a b c (Å): 6.0972 6.0972 11.6540
angles (deg): 95.03 95.03 120.07
Positions (direct):
Tb 0.0000 0.0000 0.0000
Tb 0.3353 0.6647 0.0000
Tb 0.6647 0.3353 0.0000
Nd 0.1667 0.8333 0.5000
Nd 0.8333 0.1667 0.5000
Er 0.0825 0.4159 0.2474
Er 0.2508 0.2508 0.7526
Er 0.4159 0.0825 0.2474
Er 0.5841 0.9175 0.7526
Er 0.7492 0.7492 0.2474
Er 0.9175 0.5841 0.7526

---

Structure and simulated X-ray diffraction stick pattern of Tb2PmHo5 (a DFT-relaxed cell (PBE, Alexandria); Cu Ka).

Peak list (9 most intense, 2θ from 10° to 80°, sorted by position)
30.87°, I = 100; 35.76°, I = 34; 35.86°, I = 17; 51.51°, I = 36; 61.22°, I = 29; 61.36°, I = 14; 64.31°, I = 12; 75.76°, I = 4; 76.00°, I = 2

Crystal structure
a b c (Å): 7.1017 14.2072 5.0088
angles (deg): 90.00 90.00 90.00
Positions (direct):
Tb 0.2492 0.1256 0.0000
Tb 0.2508 0.6256 0.0000
Tb 0.7492 0.3744 0.0000
Tb 0.7508 0.8744 0.0000
Pm 0.0000 0.5000 0.5000
Pm 0.5000 0.0000 0.5000
Ho 0.0000 0.0000 0.5000
Ho 0.9997 0.2491 0.5000
Ho 0.0003 0.7509 0.5000
Ho 0.2502 0.3744 0.0000
Ho 0.2498 0.8744 0.0000
Ho 0.4997 0.2509 0.5000
Ho 0.5000 0.5000 0.5000
Ho 0.5003 0.7491 0.5000
Ho 0.7502 0.1256 0.0000
Ho 0.7498 0.6256 0.0000